Record 1
Diffraction record for La2Ni3Rh. The X-ray diffraction stick pattern is theoretical, not measured: it uses the GGA-PBE geometry in Alexandria and Cu Kα.
Kinematic intensities with the Lorentz-polarization factor, no thermal factor.

Crystal structure
Lattice parameters (Å, degrees): 5.3514 5.3514 5.3514 58.00 58.00 58.00
Atoms (fractional coordinates):
La1 0.1232 0.1232 0.1232
La2 0.8768 0.8768 0.8768
Ni1 0.0000 0.5000 0.5000
Ni2 0.5000 0.0000 0.5000
Ni3 0.5000 0.5000 0.0000
Rh1 0.5000 0.5000 0.5000

The 6 most intense peaks (2θ = 10–80°), by angle:
2θ = 33.5°, 2.673 Å, intensity 35.1; 2θ = 34.6°, 2.595 Å, intensity 58.8; 2θ = 39.4°, 2.289 Å, intensity 58.6; 2θ = 40.3°, 2.239 Å, intensity 100.0; 2θ = 40.7°, 2.216 Å, intensity 40.9; 2θ = 42.5°, 2.129 Å, intensity 31.5



Record 2
Diffraction record for K5CuIO2. The X-ray diffraction stick pattern is theoretical, not measured: it uses the GGA-PBE geometry in Alexandria and Cu Kα.
Kinematic intensities with the Lorentz-polarization factor, no thermal factor.

Crystal structure
Lattice parameters (Å, degrees): 5.5080 5.5080 9.0271 90.00 90.00 90.00
Atoms (fractional coordinates):
K1 0.0000 0.0000 0.0000
K2 0.0000 0.5000 0.2967
K3 0.0000 0.5000 0.7033
K4 0.5000 0.0000 0.2967
K5 0.5000 0.0000 0.7033
Cu1 0.0000 0.0000 0.5000
I1 0.5000 0.5000 0.0000
O1 0.0000 0.0000 0.2956
O2 0.0000 0.0000 0.7044

The 6 most intense peaks (2θ = 10–80°), by angle:
2θ = 18.9°, 4.702 Å, intensity 72.1; 2θ = 24.9°, 3.576 Å, intensity 26.0; 2θ = 30.3°, 2.949 Å, intensity 100.0; 2θ = 32.5°, 2.754 Å, intensity 65.7; 2θ = 37.9°, 2.376 Å, intensity 24.6; 2θ = 56.6°, 1.625 Å, intensity 30.8



Record 3
Diffraction record for La3Ce4HoS8. The X-ray diffraction stick pattern is theoretical, not measured: it uses the GGA-PBE geometry in Alexandria and Cu Kα.
Kinematic intensities with the Lorentz-polarization factor, no thermal factor.

Crystal structure
Lattice parameters (Å, degrees): 8.1227 8.1227 8.1227 59.97 59.97 59.97
Atoms (fractional coordinates):
La1 0.0000 0.5000 0.5000
La2 0.5000 0.0000 0.5000
La3 0.5000 0.5000 0.0000
Ce1 0.0000 0.0000 0.5000
Ce2 0.0000 0.5000 0.0000
Ce3 0.5000 0.0000 0.0000
Ce4 0.5000 0.5000 0.5000
Ho1 0.0000 0.0000 0.0000
S1 0.2389 0.7554 0.7554
S2 0.2446 0.2446 0.7611
S3 0.2446 0.7611 0.2446
S4 0.2471 0.2471 0.2471
S5 0.7529 0.7529 0.7529
S6 0.7554 0.2389 0.7554
S7 0.7554 0.7554 0.2389
S8 0.7611 0.2446 0.2446

The 6 most intense peaks (2θ = 10–80°), by angle:
2θ = 26.9°, 3.315 Å, intensity 72.7; 2θ = 31.2°, 2.871 Å, intensity 100.0; 2θ = 44.6°, 2.030 Å, intensity 72.2; 2θ = 52.9°, 1.731 Å, intensity 36.2; 2θ = 55.4°, 1.658 Å, intensity 25.0; 2θ = 73.8°, 1.284 Å, intensity 31.7



Copy entry 3 word for word.
Diffraction record for La3Ce4HoS8. The X-ray diffraction stick pattern is theoretical, not measured: it uses the GGA-PBE geometry in Alexandria and Cu Kα.
Kinematic intensities with the Lorentz-polarization factor, no thermal factor.

Crystal structure
Lattice parameters (Å, degrees): 8.1227 8.1227 8.1227 59.97 59.97 59.97
Atoms (fractional coordinates):
La1 0.0000 0.5000 0.5000
La2 0.5000 0.0000 0.5000
La3 0.5000 0.5000 0.0000
Ce1 0.0000 0.0000 0.5000
Ce2 0.0000 0.5000 0.0000
Ce3 0.5000 0.0000 0.0000
Ce4 0.5000 0.5000 0.5000
Ho1 0.0000 0.0000 0.0000
S1 0.2389 0.7554 0.7554
S2 0.2446 0.2446 0.7611
S3 0.2446 0.7611 0.2446
S4 0.2471 0.2471 0.2471
S5 0.7529 0.7529 0.7529
S6 0.7554 0.2389 0.7554
S7 0.7554 0.7554 0.2389
S8 0.7611 0.2446 0.2446

The 6 most intense peaks (2θ = 10–80°), by angle:
2θ = 26.9°, 3.315 Å, intensity 72.7; 2θ = 31.2°, 2.871 Å, intensity 100.0; 2θ = 44.6°, 2.030 Å, intensity 72.2; 2θ = 52.9°, 1.731 Å, intensity 36.2; 2θ = 55.4°, 1.658 Å, intensity 25.0; 2θ = 73.8°, 1.284 Å, intensity 31.7